Diffraction record for SiTe4. The powder diffractogram is computed, not measured: it uses a DFT-relaxed cell (PBE, Alexandria) and Cu Kα (weighted mean of Kα1 and Kα2).
Peak positions follow from Bragg's law for the DFT cell and can differ from measured ones.

Largest 10 diffraction maxima, by angle, 2θ = 5–70°:
- 2θ = 22.6°, intensity 100
- 2θ = 26.7°, intensity 35
- 2θ = 27.0°, intensity 18
- 2θ = 27.7°, intensity 39
- 2θ = 32.2°, intensity 55
- 2θ = 32.7°, intensity 31
- 2θ = 37.7°, intensity 50
- 2θ = 39.1°, intensity 22
- 2θ = 41.7°, intensity 30
- 2θ = 46.1°, intensity 18

Atomic structure:
Cell: 7.343 7.343 6.798 Å, 97.65 97.65 112.98°
Fractional coordinates of all 10 atoms:
Si 0.070 0.930 0.750
Si 0.930 0.070 0.250
Te 0.072 0.468 0.204
Te 0.167 0.298 0.622
Te 0.298 0.167 0.122
Te 0.468 0.072 0.704
Te 0.532 0.928 0.296
Te 0.702 0.833 0.878
Te 0.833 0.702 0.378
Te 0.928 0.532 0.796